# Nd2Dy2BrNCl4
Simulated X-ray diffraction stick pattern, a wavelength of 1.5418 Å. Input: a structure optimized by DFT (PBE).
No peak broadening, texture or thermal motion is included.

Main lines, sorted by position (2θ from 10° to 90°):
d_spacing  2theta  I/Imax
8.283  10.68  56
8.071  10.96  99
3.111  28.70  23
2.792  32.05  100
2.777  32.24  32
2.761  32.43  39
1.963  46.24  47
1.663  55.23  23

Crystal structure
```
data_Nd2Dy2BrNCl4
_chemical_formula_sum 'Nd4 Dy4 Br2 N2 Cl8'
_cell_length_a 17.088
_cell_length_b 3.765
_cell_length_c 8.325
_cell_angle_alpha 90.00
_cell_angle_beta 104.20
_cell_angle_gamma 90.00
_space_group_name_H-M_alt 'C 1 2/m 1'
_space_group_IT_number 12
_space_group_name_Hall '-C 2y'
loop_
_atom_site_label
_atom_site_fract_x
_atom_site_fract_y
_atom_site_fract_z
Nd1 0.000 0.000 0.203
Dy1 0.141 0.500 0.074
Br1 0.000 0.500 0.500
N1 0.000 0.500 0.000
Cl1 0.170 0.000 0.317
Cl2 0.174 0.000 0.856
```